Starting from a structure optimized by DFT (GGA-PBE), the powder diffractogram of Cs2YInBr6 was calculated for Cu Kα, 1.54184 Å.
Intensities are scaled so that the largest is 100.

Structure:
abc: 11.984 11.984 11.984
angles: 90.00 90.00 90.00
Space group Fm-3m (No. 225)
Inequivalent atoms, fractional coordinates:
Cs  0.250  0.250  0.250 x8
Y  0.000  0.000  0.000 x4
In  0.000  0.000  0.500 x4
Br  0.000  0.000  0.234 x24

Principal peaks in the range 10 to 90 degrees two-theta, low angle first:
index, 2θ (°), d [Å], I (rel.)
2 2 0, 21.0, 4.237, 51
2 2 2, 25.8, 3.460, 62
4 0 0, 29.8, 2.996, 100
4 4 0, 42.7, 2.119, 71
6 2 2, 50.5, 1.807, 26
8 4 0, 70.3, 1.340, 29